Entry 1:
For K2W2Se5, the GGA-PBE geometry in OQMD gives the simulated powder diffractogram in this record (Cu Kα (weighted mean of Kα1 and Kα2)).

Peak list (10 most intense, 10 to 90 degrees two-theta, by angle)
2theta	intensity	index
14.24	26.0	1 1 0
14.64	100.0	1 1 -1
15.63	66.9	0 0 2
24.69	20.4	1 1 -3
28.09	23.1	3 1 -1
31.47	56.8	2 2 1
31.63	32.2	1 1 -4
39.49	27.7	4 0 -4
48.29	24.0	3 3 -4
50.61	22.5	2 4 1

Atomic structure:
Lattice parameters (Å, degrees): 10.3840 8.0866 12.0986 90.00 110.39 90.00
Space group C2/c (No. 15)
Asymmetric unit:
1 K 0.2241 0.1674 0.3157
2 W 0.1186 0.3274 0.9533
3 Se 0.0000 0.1984 0.7500
4 Se 0.0141 0.3826 0.1074
5 Se 0.1732 0.0355 0.0319


Entry 2:
For KW3Se5, the GGA-PBE geometry in OQMD gives the simulated powder diffractogram in this record (Cu Kα (weighted mean of Kα1 and Kα2)).

Peak list (10 most intense, 10 to 90 degrees two-theta, by angle)
2theta	intensity	index
11.58	100.0	0 0 1
17.66	17.9	1 0 0
35.76	16.6	2 0 0
37.71	39.6	2 0 1
39.00	14.8	1 1 2
43.12	52.4	2 0 2
47.61	9.7	0 0 4
51.10	17.4	2 0 3
64.26	11.4	2 2 0
83.77	10.9	2 2 4

Atomic structure:
Lattice parameters (Å, degrees): 5.7984 5.7984 7.6394 90.00 90.00 120.00
Space group P6/mmm (No. 191)
Asymmetric unit:
1 K 0.0000 0.0000 0.0000
2 W 0.0000 0.5000 0.5000
3 Se 0.0000 0.0000 0.5000
4 Se 0.3333 0.6667 0.2420


Entry 3:
For K2WSe3, the GGA-PBE geometry in OQMD gives the simulated powder diffractogram in this record (Cu Kα (weighted mean of Kα1 and Kα2)).

Peak list (10 most intense, 10 to 90 degrees two-theta, by angle)
2theta	intensity	index
10.94	38.0	0 0 1
12.95	86.0	0 1 0
14.21	33.3	1 0 0
15.49	100.0	1 0 1
15.73	41.6	1 1 0
25.45	51.1	2 1 1
26.64	30.7	0 2 1
27.36	35.1	0 1 -2
38.85	24.5	-2 1 1
42.90	27.3	0 3 -1

Atomic structure:
Lattice parameters (Å, degrees): 7.0325 7.5368 8.7126 74.21 70.06 66.78
Space group P-1 (No. 2)
Asymmetric unit:
1 K 0.1048 0.1998 0.1190
2 K 0.3531 0.5478 0.3058
3 W 0.3696 0.0530 0.6606
4 Se 0.1630 0.3812 0.7138
5 Se 0.2630 0.9499 0.4718
6 Se 0.3684 0.8215 0.9110